[1]
Simulated XRD peak list of HfZrTlC for Cu Ka, from DFT lattice parameters and positions (GGA-PBE).
Lines closer than 0.1° are merged.

The 10 most intense peaks (10 to 90 degrees two-theta), in order of rising 2θ:
- 2θ = 30.68°, intensity 25
- 2θ = 35.66°, intensity 100
- 2θ = 35.95°, intensity 21
- 2θ = 47.96°, intensity 17
- 2θ = 54.54°, intensity 20
- 2θ = 64.44°, intensity 18
- 2θ = 66.88°, intensity 16
- 2θ = 67.06°, intensity 20
- 2θ = 75.54°, intensity 4
- 2θ = 89.33°, intensity 8

Cell and atoms:
```
data_HfZrTlC
_chemical_formula_sum 'Hf2 Zr2 Tl2 C2'
_symmetry_space_group_name_H-M 'P 1'
_symmetry_Int_Tables_number 1
_cell_length_a 3.365
_cell_length_b 3.365
_cell_length_c 14.989
_cell_angle_alpha 90.00
_cell_angle_beta 90.00
_cell_angle_gamma 120.00
loop_
_symmetry_equiv_pos_as_xyz
'x,y,z'
loop_
_atom_site_label
_atom_site_fract_x
_atom_site_fract_y
_atom_site_fract_z
Hf1 0.000 0.000 0.168
Hf2 0.000 0.000 0.832
Zr1 0.333 0.667 0.330
Zr2 0.333 0.667 0.670
Tl1 0.000 0.000 0.500
Tl2 0.333 0.667 0.000
C1 0.667 0.333 0.246
C2 0.667 0.333 0.754
```

***

[2]
Simulated XRD peak list of HgC8 for Cu Ka, from DFT lattice parameters and positions (GGA-PBE).
Lines closer than 0.1° are merged.

The 10 most intense peaks (10 to 90 degrees two-theta), in order of rising 2θ:
- 2θ = 13.69°, intensity 25
- 2θ = 21.11°, intensity 100
- 2θ = 21.94°, intensity 91
- 2θ = 23.26°, intensity 80
- 2θ = 27.09°, intensity 55
- 2θ = 27.59°, intensity 57
- 2θ = 29.46°, intensity 45
- 2θ = 32.04°, intensity 36
- 2θ = 36.66°, intensity 25
- 2θ = 44.74°, intensity 62

Cell and atoms:
```
data_HgC8
_chemical_formula_sum 'Hg2 C16'
_symmetry_space_group_name_H-M 'P 1'
_symmetry_Int_Tables_number 1
_cell_length_a 13.620
_cell_length_b 13.167
_cell_length_c 4.925
_cell_angle_alpha 84.63
_cell_angle_beta 74.27
_cell_angle_gamma 21.10
loop_
_symmetry_equiv_pos_as_xyz
'x,y,z'
loop_
_atom_site_label
_atom_site_fract_x
_atom_site_fract_y
_atom_site_fract_z
Hg1 0.125 0.125 0.125
Hg2 0.875 0.875 0.875
C1 0.083 0.417 0.333
C2 0.083 0.417 0.833
C3 0.167 0.833 0.417
C4 0.167 0.833 0.917
C5 0.333 0.667 0.083
C6 0.333 0.667 0.583
C7 0.417 0.083 0.167
C8 0.417 0.083 0.667
C9 0.583 0.917 0.333
C10 0.583 0.917 0.833
C11 0.667 0.333 0.417
C12 0.667 0.333 0.917
C13 0.833 0.167 0.083
C14 0.833 0.167 0.583
C15 0.917 0.583 0.167
C16 0.917 0.583 0.667
```